Structure and computed powder X-ray diffraction pattern of BaNbInWO6 (the PBE+U geometry in Alexandria; a wavelength of 1.5418 Å).
Peak positions follow from Bragg's law for the DFT cell and can differ from measured ones.

The 8 most intense peaks (2θ = 10–90°), low angle first:
| Position (°2θ) | Rel. int. | h k l |
| --- | --- | --- |
| 18.62 | 6.2 | 1 1 1 |
| 30.64 | 100.0 | 2 2 0 |
| 43.88 | 29.4 | 4 0 0 |
| 54.46 | 40.0 | 4 2 2 |
| 63.79 | 18.2 | 4 4 0 |
| 72.42 | 17.3 | 6 2 0 |
| 80.65 | 6.1 | 4 4 4 |
| 88.69 | 21.4 | 6 4 2 |

Structural model:
```
data_BaNbInWO6
_symmetry_space_group_name_H-M 'F -4 3 m'
_symmetry_Int_Tables_number 216
_symmetry_space_group_name_Hall 'F -4 2 3'
_cell_length_a 8.2533
_cell_length_b 8.2533
_cell_length_c 8.2533
_cell_angle_alpha 90.00
_cell_angle_beta 90.00
_cell_angle_gamma 90.00
loop_
_atom_site_label
_atom_site_type_symbol
_atom_site_fract_x
_atom_site_fract_y
_atom_site_fract_z
Ba1 Ba 0.0000 0.0000 0.0000
Nb1 Nb 0.2500 0.2500 0.7500
In1 In 0.0000 0.0000 0.5000
W1 W 0.2500 0.2500 0.2500
O1 O 0.0027 0.2500 0.7500
```